For TbIr2W5, the PBE geometry in OQMD gives the simulated XRD peak list in this record (λ = 1.5418 Å (Cu Kα)).

```
data_TbIr2W5
_symmetry_space_group_name_H-M 'P 4/m m m'
_symmetry_Int_Tables_number 123
_symmetry_space_group_name_Hall '-P 4 2'
_cell_length_a 5.943
_cell_length_b 5.943
_cell_length_c 4.475
_cell_angle_alpha 90.00
_cell_angle_beta 90.00
_cell_angle_gamma 90.00
loop_
_atom_site_label
_atom_site_fract_x
_atom_site_fract_y
_atom_site_fract_z
Tb1 0.000 0.000 0.000
Ir1 0.000 0.500 0.500
W1 0.000 0.000 0.500
W2 0.296 0.296 0.000
```

Principal peaks in the range 2θ = 10–90°, low angle first:
- 2θ = 19.84°, rel. 12
- 2θ = 24.91°, rel. 14
- 2θ = 29.15°, rel. 30
- 2θ = 33.72°, rel. 31
- 2θ = 36.29°, rel. 100
- 2θ = 40.30°, rel. 38
- 2θ = 43.05°, rel. 46
- 2θ = 45.80°, rel. 21
- 2θ = 53.53°, rel. 17
- 2θ = 60.43°, rel. 34
- 2θ = 62.63°, rel. 16
- 2θ = 70.65°, rel. 15

=====

For TeIr17, the PBE geometry in OQMD gives the simulated XRD peak list in this record (λ = 1.5418 Å (Cu Kα)).

```
data_TeIr17
_symmetry_space_group_name_H-M 'P 3 2 1'
_symmetry_Int_Tables_number 150
_cell_length_a 5.4175
_cell_length_b 5.4175
_cell_length_c 27.8300
_cell_angle_alpha 90.00
_cell_angle_beta 90.00
_cell_angle_gamma 120.00
loop_
_symmetry_equiv_pos_as_xyz
'x,y,z'
'-y,x-y,z'
'-x+y,-x,z'
'y,x,-z'
'x-y,-y,-z'
'-x,-x+y,-z'
loop_
_atom_site_label
_atom_site_fract_x
_atom_site_fract_y
_atom_site_fract_z
Te1 0.3333 0.6667 0.3602
Ir1 0.0000 0.0000 0.0000
Ir2 0.0000 0.0000 0.2439
Ir3 0.0000 0.5002 0.0000
Ir4 0.0010 0.4987 0.2401
Ir5 0.1120 0.7785 0.6792
Ir6 0.1656 0.3324 0.1610
Ir7 0.1661 0.3337 0.9194
Ir8 0.3333 0.6667 0.0804
Ir9 0.3333 0.6667 0.8396
```

Principal peaks in the range 2θ = 10–90°, low angle first:
- 2θ = 38.83°, rel. 27
- 2θ = 40.58°, rel. 100
- 2θ = 41.79°, rel. 24
- 2θ = 42.22°, rel. 21
- 2θ = 46.70°, rel. 59
- 2θ = 48.72°, rel. 24
- 2θ = 66.98°, rel. 12
- 2θ = 69.41°, rel. 27
- 2θ = 70.09°, rel. 16
- 2θ = 82.47°, rel. 17
- 2θ = 83.85°, rel. 12
- 2θ = 84.68°, rel. 14

=====

For TeIr17, the PBE geometry in OQMD gives the simulated XRD peak list in this record (λ = 1.5418 Å (Cu Kα)).

```
data_TeIr17
_symmetry_space_group_name_H-M 'P 1 21/m 1'
_symmetry_Int_Tables_number 11
_cell_length_a 4.682
_cell_length_b 5.431
_cell_length_c 32.524
_cell_angle_alpha 90.00
_cell_angle_beta 90.06
_cell_angle_gamma 90.00
loop_
_symmetry_equiv_pos_as_xyz
'x,y,z'
'-x,-y,-z'
'-x,y+1/2,-z'
'x,-y+1/2,z'
loop_
_atom_site_label
_atom_site_fract_x
_atom_site_fract_y
_atom_site_fract_z
Te1 0.166 0.250 0.310
Ir1 0.000 0.000 0.000
Ir2 0.001 0.003 0.206
Ir3 0.165 0.750 0.274
Ir4 0.165 0.750 0.862
Ir5 0.166 0.750 0.068
Ir6 0.167 0.250 0.069
Ir7 0.168 0.250 0.862
Ir8 0.333 0.000 0.138
Ir9 0.334 0.001 0.931
Ir10 0.334 0.501 0.726
Ir11 0.500 0.250 0.000
Ir12 0.500 0.250 0.207
Ir13 0.500 0.250 0.793
```

Principal peaks in the range 2θ = 10–90°, low angle first:
- 2θ = 38.76°, rel. 42
- 2θ = 39.95°, rel. 49
- 2θ = 40.07°, rel. 24
- 2θ = 40.85°, rel. 100
- 2θ = 40.96°, rel. 49
- 2θ = 41.65°, rel. 36
- 2θ = 46.07°, rel. 43
- 2θ = 47.75°, rel. 54
- 2θ = 47.90°, rel. 27
- 2θ = 67.76°, rel. 26
- 2θ = 69.48°, rel. 34
- 2θ = 70.45°, rel. 22

=====

For TeIr15, the PBE geometry in OQMD gives the simulated XRD peak list in this record (λ = 1.5418 Å (Cu Kα)).

```
data_TeIr15
_symmetry_space_group_name_H-M 'P 1 21/m 1'
_symmetry_Int_Tables_number 11
_cell_length_a 5.437
_cell_length_b 3.866
_cell_length_c 32.141
_cell_angle_alpha 90.00
_cell_angle_beta 90.63
_cell_angle_gamma 90.00
loop_
_symmetry_equiv_pos_as_xyz
'x,y,z'
'-x,-y,-z'
'-x,y+1/2,-z'
'x,-y+1/2,z'
loop_
_atom_site_label
_atom_site_fract_x
_atom_site_fract_y
_atom_site_fract_z
Te1 0.067 0.250 0.335
Ir1 0.089 0.250 0.716
Ir2 0.115 0.250 0.808
Ir3 0.117 0.250 0.893
Ir4 0.124 0.250 0.979
Ir5 0.130 0.250 0.065
Ir6 0.137 0.250 0.150
Ir7 0.139 0.250 0.235
Ir8 0.354 0.750 0.765
Ir9 0.365 0.750 0.850
Ir10 0.371 0.750 0.936
Ir11 0.376 0.750 0.021
Ir12 0.384 0.750 0.107
Ir13 0.386 0.750 0.192
Ir14 0.403 0.750 0.274
Ir15 0.429 0.750 0.682
```

Principal peaks in the range 2θ = 10–90°, low angle first:
- 2θ = 38.63°, rel. 49
- 2θ = 40.59°, rel. 100
- 2θ = 41.00°, rel. 68
- 2θ = 45.31°, rel. 13
- 2θ = 45.85°, rel. 17
- 2θ = 47.03°, rel. 38
- 2θ = 47.38°, rel. 24
- 2θ = 47.95°, rel. 20
- 2θ = 68.97°, rel. 14
- 2θ = 69.41°, rel. 13
- 2θ = 81.70°, rel. 18
- 2θ = 83.20°, rel. 18

=====

For TeIr7, the PBE geometry in OQMD gives the simulated XRD peak list in this record (λ = 1.5418 Å (Cu Kα)).

```
data_TeIr7
_symmetry_space_group_name_H-M 'P m m n'
_symmetry_Int_Tables_number 59
_cell_length_a 2.798
_cell_length_b 3.840
_cell_length_c 33.522
_cell_angle_alpha 90.00
_cell_angle_beta 90.00
_cell_angle_gamma 90.00
loop_
_symmetry_equiv_pos_as_xyz
'x,y,z'
'-x,-y,-z'
'-x+1/2,-y+1/2,z'
'x+1/2,y+1/2,-z'
'x+1/2,-y,-z'
'-x+1/2,y,z'
'-x,y+1/2,-z'
'x,-y+1/2,z'
loop_
_atom_site_label
_atom_site_fract_x
_atom_site_fract_y
_atom_site_fract_z
Te1 0.250 0.250 0.191
Ir1 0.250 0.250 0.278
Ir2 0.250 0.250 0.358
Ir3 0.250 0.250 0.439
Ir4 0.250 0.250 0.520
Ir5 0.250 0.250 0.601
Ir6 0.250 0.250 0.683
Ir7 0.250 0.250 0.766
```

Principal peaks in the range 2θ = 10–90°, low angle first:
- 2θ = 39.90°, rel. 100
- 2θ = 42.22°, rel. 17
- 2θ = 45.90°, rel. 26
- 2θ = 47.37°, rel. 19
- 2θ = 47.98°, rel. 12
- 2θ = 66.89°, rel. 7
- 2θ = 68.07°, rel. 16
- 2θ = 69.70°, rel. 8
- 2θ = 80.84°, rel. 18
- 2θ = 82.98°, rel. 12
- 2θ = 83.89°, rel. 8
- 2θ = 85.98°, rel. 7

=====

For TeIr9, the PBE geometry in OQMD gives the simulated XRD peak list in this record (λ = 1.5418 Å (Cu Kα)).

```
data_TeIr9
_symmetry_space_group_name_H-M 'P 4/n m m'
_symmetry_Int_Tables_number 129
_cell_length_a 2.774
_cell_length_b 2.774
_cell_length_c 50.035
_cell_angle_alpha 90.00
_cell_angle_beta 90.00
_cell_angle_gamma 90.00
loop_
_symmetry_equiv_pos_as_xyz
'x,y,z'
'-x,-y,-z'
'-y+1/2,x,z'
'y+1/2,-x,-z'
'-x+1/2,-y+1/2,z'
'x+1/2,y+1/2,-z'
'y,-x+1/2,z'
'-y,x+1/2,-z'
'x+1/2,-y,-z'
'-x+1/2,y,z'
'-y,-x,-z'
'y,x,z'
'-x,y+1/2,-z'
'x,-y+1/2,z'
'y+1/2,x+1/2,-z'
'-y+1/2,-x+1/2,z'
loop_
_atom_site_label
_atom_site_fract_x
_atom_site_fract_y
_atom_site_fract_z
Te1 0.250 0.250 0.133
Ir1 0.250 0.250 0.214
Ir2 0.250 0.250 0.290
Ir3 0.250 0.250 0.367
Ir4 0.250 0.250 0.443
Ir5 0.250 0.250 0.519
Ir6 0.250 0.250 0.595
Ir7 0.250 0.250 0.672
Ir8 0.250 0.250 0.748
Ir9 0.250 0.250 0.823
```

Principal peaks in the range 2θ = 10–90°, low angle first:
- 2θ = 37.99°, rel. 6
- 2θ = 39.00°, rel. 5
- 2θ = 40.07°, rel. 100
- 2θ = 41.19°, rel. 16
- 2θ = 46.29°, rel. 41
- 2θ = 47.23°, rel. 15
- 2θ = 67.54°, rel. 13
- 2θ = 68.28°, rel. 20
- 2θ = 69.82°, rel. 5
- 2θ = 81.52°, rel. 26
- 2θ = 82.91°, rel. 10
- 2θ = 86.49°, rel. 11

=====

For TeIr15, the PBE geometry in OQMD gives the simulated XRD peak list in this record (λ = 1.5418 Å (Cu Kα)).

```
data_TeIr15
_symmetry_space_group_name_H-M 'P 1 21/m 1'
_symmetry_Int_Tables_number 11
_cell_length_a 7.685
_cell_length_b 2.750
_cell_length_c 35.152
_cell_angle_alpha 90.00
_cell_angle_beta 90.00
_cell_angle_gamma 90.00
loop_
_symmetry_equiv_pos_as_xyz
'x,y,z'
'-x,-y,-z'
'-x,y+1/2,-z'
'x,-y+1/2,z'
loop_
_atom_site_label
_atom_site_fract_x
_atom_site_fract_y
_atom_site_fract_z
Te1 0.125 0.250 0.296
Ir1 0.125 0.250 0.058
Ir2 0.125 0.250 0.136
Ir3 0.125 0.250 0.212
Ir4 0.125 0.250 0.826
Ir5 0.125 0.250 0.903
Ir6 0.125 0.250 0.980
Ir7 0.126 0.250 0.746
Ir8 0.375 0.750 0.020
Ir9 0.375 0.750 0.097
Ir10 0.375 0.750 0.174
Ir11 0.375 0.750 0.712
Ir12 0.375 0.750 0.787
Ir13 0.375 0.750 0.864
Ir14 0.375 0.750 0.942
Ir15 0.376 0.750 0.254
```

Principal peaks in the range 2θ = 10–90°, low angle first:
- 2θ = 10.07°, rel. 13
- 2θ = 38.65°, rel. 26
- 2θ = 40.36°, rel. 100
- 2θ = 40.81°, rel. 63
- 2θ = 45.23°, rel. 18
- 2θ = 47.14°, rel. 42
- 2θ = 47.34°, rel. 32
- 2θ = 69.01°, rel. 27
- 2θ = 82.64°, rel. 17
- 2θ = 83.23°, rel. 13
- 2θ = 83.57°, rel. 15
- 2θ = 87.20°, rel. 12

=====

For TeIr9, the PBE geometry in OQMD gives the simulated XRD peak list in this record (λ = 1.5418 Å (Cu Kα)).

```
data_TeIr9
_symmetry_space_group_name_H-M 'P m m n'
_symmetry_Int_Tables_number 59
_cell_length_a 2.783
_cell_length_b 3.824
_cell_length_c 40.477
_cell_angle_alpha 90.00
_cell_angle_beta 90.00
_cell_angle_gamma 90.00
loop_
_symmetry_equiv_pos_as_xyz
'x,y,z'
'-x,-y,-z'
'-x+1/2,-y+1/2,z'
'x+1/2,y+1/2,-z'
'x+1/2,-y,-z'
'-x+1/2,y,z'
'-x,y+1/2,-z'
'x,-y+1/2,z'
loop_
_atom_site_label
_atom_site_fract_x
_atom_site_fract_y
_atom_site_fract_z
Te1 0.250 0.250 0.177
Ir1 0.250 0.250 0.249
Ir2 0.250 0.250 0.316
Ir3 0.250 0.250 0.383
Ir4 0.250 0.250 0.450
Ir5 0.250 0.250 0.517
Ir6 0.250 0.250 0.584
Ir7 0.250 0.250 0.651
Ir8 0.250 0.250 0.718
Ir9 0.250 0.250 0.788
```

Principal peaks in the range 2θ = 10–90°, low angle first:
- 2θ = 39.06°, rel. 25
- 2θ = 40.09°, rel. 100
- 2θ = 40.93°, rel. 65
- 2θ = 45.22°, rel. 16
- 2θ = 46.90°, rel. 44
- 2θ = 47.57°, rel. 31
- 2θ = 67.30°, rel. 11
- 2θ = 69.01°, rel. 28
- 2θ = 81.86°, rel. 18
- 2θ = 83.40°, rel. 13
- 2θ = 83.55°, rel. 16
- 2θ = 86.51°, rel. 12

=====

For Tm3Te5Ir, the PBE geometry in OQMD gives the simulated XRD peak list in this record (λ = 1.5418 Å (Cu Kα)).

```
data_Tm3Te5Ir
_symmetry_space_group_name_H-M 'P -6 2 m'
_symmetry_Int_Tables_number 189
_symmetry_space_group_name_Hall 'P -6 -2'
_cell_length_a 8.4441
_cell_length_b 8.4441
_cell_length_c 4.1425
_cell_angle_alpha 90.00
_cell_angle_beta 90.00
_cell_angle_gamma 120.00
loop_
_atom_site_label
_atom_site_fract_x
_atom_site_fract_y
_atom_site_fract_z
Tm1 0.0000 0.2611 0.0000
Te1 0.0000 0.6879 0.5000
Te2 0.3333 0.6667 0.0000
Ir1 0.0000 0.0000 0.5000
```

Principal peaks in the range 2θ = 10–90°, low angle first:
- 2θ = 12.10°, rel. 51
- 2θ = 24.70°, rel. 14
- 2θ = 30.23°, rel. 100
- 2θ = 32.39°, rel. 12
- 2θ = 32.67°, rel. 32
- 2θ = 36.87°, rel. 68
- 2θ = 39.18°, rel. 73
- 2θ = 43.70°, rel. 23
- 2θ = 49.88°, rel. 13
- 2θ = 58.47°, rel. 35
- 2θ = 59.44°, rel. 23
- 2θ = 76.01°, rel. 16

=====

For Y2Te6Ir, the PBE geometry in OQMD gives the simulated XRD peak list in this record (λ = 1.5418 Å (Cu Kα)).

```
data_Y2Te6Ir
_symmetry_space_group_name_H-M 'P -6 2 m'
_symmetry_Int_Tables_number 189
_symmetry_space_group_name_Hall 'P -6 -2'
_cell_length_a 8.3580
_cell_length_b 8.3580
_cell_length_c 3.9925
_cell_angle_alpha 90.00
_cell_angle_beta 90.00
_cell_angle_gamma 120.00
loop_
_atom_site_label
_atom_site_fract_x
_atom_site_fract_y
_atom_site_fract_z
Y1 0.3333 0.6667 0.0000
Te1 0.0000 0.2251 0.0000
Te2 0.0000 0.5506 0.5000
Ir1 0.0000 0.0000 0.5000
```

Principal peaks in the range 2θ = 10–90°, low angle first:
- 2θ = 12.23°, rel. 22
- 2θ = 24.60°, rel. 20
- 2θ = 30.98°, rel. 31
- 2θ = 32.73°, rel. 39
- 2θ = 33.42°, rel. 100
- 2θ = 39.95°, rel. 33
- 2θ = 43.30°, rel. 12
- 2θ = 45.43°, rel. 17
- 2θ = 50.43°, rel. 12
- 2θ = 50.91°, rel. 14
- 2θ = 57.12°, rel. 15
- 2θ = 60.37°, rel. 16